Entry 1:
This entry pairs a crystal structure of CsBaSbF6 with its theoretical X-ray diffraction stick pattern. Radiation: a wavelength of 1.5418 Å. Structure: a DFT-relaxed cell (GGA-PBE, Alexandria).
Kinematic intensities with the Lorentz-polarization factor, no thermal factor.

Most intense lines, 2θ = 10–90°, low angle first:
| d_spacing | I_rel | hkl |
| --- | --- | --- |
| 3.441 | 100 | 1 0 1 |
| 3.393 | 99 | 1 1 0 |
| 2.416 | 66 | 0 2 1 |
| 1.996 | 19 | 0 1 2 |
| 1.968 | 52 | 3 -1 1 |
| 1.959 | 26 | 3 0 0 |
| 1.720 | 15 | 2 0 2 |
| 1.696 | 17 | 2 2 0 |
| 1.534 | 20 | 3 -2 2 |
| 1.521 | 20 | 1 3 1 |
| 1.285 | 14 | 5 -2 1 |
| 1.282 | 14 | 1 4 0 |

Atomic structure:
Unit cell a=6.7854 b=6.7854 c=4.2444 alpha=90.00 beta=90.00 gamma=120.00
Space group P3 (No. 143)
One atom of each set of equivalent atoms:
Cs 0.0000 0.0000 0.0000 x1
Ba 0.3333 0.6667 0.5825 x1
Sb 0.6667 0.3333 0.2184 x1
F 0.0533 0.6062 0.0871 x3
F 0.4019 0.1332 0.5240 x3

=====

Entry 2:
This entry pairs a crystal structure of CsBaSeF with its theoretical X-ray diffraction stick pattern. Radiation: a wavelength of 1.5418 Å. Structure: a DFT-relaxed cell (GGA-PBE, Alexandria).
Kinematic intensities with the Lorentz-polarization factor, no thermal factor.

Most intense lines, 2θ = 10–90°, low angle first:
| d_spacing | I_rel | hkl |
| --- | --- | --- |
| 4.610 | 47 | 0 1 2 |
| 4.181 | 29 | 1 0 4 |
| 3.928 | 27 | 0 1 5 |
| 3.428 | 40 | 1 0 7 |
| 3.198 | 32 | 0 1 8 |
| 2.865 | 31 | 0 0 12 |
| 2.792 | 14 | 1 0 10 |
| 2.763 | 100 | 1 1 0 |
| 1.989 | 63 | 1 1 12 |
| 1.595 | 18 | 3 0 0 |
| 1.394 | 20 | 3 0 12 |
| 1.244 | 14 | 2 2 12 |

Atomic structure:
Unit cell a=5.5261 b=5.5261 c=34.3844 alpha=90.00 beta=90.00 gamma=120.00
Space group R-3m (No. 166, hexagonal axes)
One atom of each set of equivalent atoms:
Cs 0.0000 0.0000 0.1253 x6
Ba 0.0000 0.0000 0.2853 x6
Se 0.0000 0.0000 0.3832 x6
F 0.0000 0.0000 0.2094 x6

=====

Entry 3:
This entry pairs a crystal structure of CsBa2Zn2F9 with its theoretical X-ray diffraction stick pattern. Radiation: a wavelength of 1.5418 Å. Structure: a DFT-relaxed cell (GGA-PBE, Alexandria).
Kinematic intensities with the Lorentz-polarization factor, no thermal factor.

Most intense lines, 2θ = 10–90°, low angle first:
| d_spacing | I_rel | hkl |
| --- | --- | --- |
| 3.310 | 100 | 0 1 5 |
| 3.004 | 81 | 1 1 0 |
| 2.383 | 10 | 0 0 9 |
| 2.341 | 17 | 0 2 4 |
| 2.225 | 62 | 2 0 5 |
| 1.983 | 24 | 1 0 10 |
| 1.788 | 36 | 1 2 5 |
| 1.735 | 16 | 3 0 0 |
| 1.655 | 15 | 0 2 10 |
| 1.502 | 20 | 2 2 0 |
| 1.449 | 15 | 2 1 10 |
| 1.368 | 14 | 3 1 5 |

Atomic structure:
Unit cell a=6.0088 b=6.0088 c=21.4430 alpha=90.00 beta=90.00 gamma=120.00
Space group R3m (No. 160, hexagonal axes)
One atom of each set of equivalent atoms:
Cs 0.0000 0.0000 0.0000 x3
Ba 0.0000 0.0000 0.5764 x3
Ba 0.0000 0.0000 0.7841 x3
Zn 0.0000 0.0000 0.1761 x3
Zn 0.0000 0.0000 0.3887 x3
F 0.0055 0.5028 0.5529 x9
F 0.1723 0.3446 0.3469 x9
F 0.1740 0.3481 0.1213 x9

=====

Entry 4:
This entry pairs a crystal structure of CsBaZnF6 with its theoretical X-ray diffraction stick pattern. Radiation: a wavelength of 1.5418 Å. Structure: a DFT-relaxed cell (GGA-PBE, Alexandria).
Kinematic intensities with the Lorentz-polarization factor, no thermal factor.

Most intense lines, 2θ = 10–90°, low angle first:
| d_spacing | I_rel | hkl |
| --- | --- | --- |
| 3.891 | 29 | 1 1 2 |
| 3.532 | 100 | 1 2 1 |
| 3.435 | 56 | 2 1 1 |
| 3.292 | 25 | 0 2 2 |
| 3.219 | 30 | 0 1 3 |
| 3.189 | 62 | 2 0 2 |
| 2.551 | 24 | 1 2 3 |
| 2.217 | 34 | 3 2 1 |
| 2.195 | 22 | 0 3 3 |
| 2.013 | 21 | 4 0 0 |
| 1.946 | 45 | 2 2 4 |
| 1.766 | 22 | 2 4 2 |

Atomic structure:
Unit cell a=8.053 b=8.486 c=10.435 alpha=90.00 beta=90.00 gamma=90.00
Space group Imma (No. 74)
One atom of each set of equivalent atoms:
Cs 0.000 0.250 0.089 x4
Ba 0.000 0.000 0.500 x4
Zn 0.250 0.250 0.750 x4
F 0.000 0.250 0.366 x4
F 0.000 0.250 0.681 x4
F 0.213 0.088 0.878 x16

=====

Entry 5:
This entry pairs a crystal structure of CsBaFeH6 with its theoretical X-ray diffraction stick pattern. Radiation: a wavelength of 1.5418 Å. Structure: a DFT-relaxed cell (GGA-PBE, Alexandria).
Kinematic intensities with the Lorentz-polarization factor, no thermal factor.

Most intense lines, 2θ = 10–90°, low angle first:
| d_spacing | I_rel | hkl |
| --- | --- | --- |
| 4.776 | 8 | 2 0 0 |
| 3.608 | 100 | 1 1 1 |
| 2.757 | 53 | 3 1 0 |
| 2.386 | 18 | 2 0 2 |
| 2.191 | 26 | 4 0 1 |
| 1.949 | 18 | 3 1 2 |
| 1.804 | 8 | 2 2 2 |
| 1.715 | 34 | 4 2 1 |
| 1.592 | 8 | 6 0 0 |
| 1.510 | 8 | 5 1 2 |
| 1.378 | 11 | 6 2 0 |
| 1.288 | 17 | 7 1 1 |

Atomic structure:
Unit cell a=9.549 b=5.516 c=5.508 alpha=90.00 beta=90.05 gamma=90.00
Space group Cm (No. 8)
One atom of each set of equivalent atoms:
Cs 0.000 0.000 0.000 x2
Ba 0.334 0.000 0.529 x2
Fe 0.167 0.500 0.354 x2
H 0.025 0.500 0.195 x2
H 0.096 0.286 0.512 x4
H 0.238 0.287 0.195 x4
H 0.310 0.500 0.512 x2

=====

Entry 6:
This entry pairs a crystal structure of CsBa2Ga2S6 with its theoretical X-ray diffraction stick pattern. Radiation: a wavelength of 1.5418 Å. Structure: a DFT-relaxed cell (GGA-PBE, Alexandria).
Kinematic intensities with the Lorentz-polarization factor, no thermal factor.

Most intense lines, 2θ = 10–90°, low angle first:
| d_spacing | I_rel | hkl |
| --- | --- | --- |
| 6.167 | 56 | 1 1 1 |
| 4.346 | 39 | 0 1 -1 |
| 4.314 | 42 | 1 -1 0 |
| 3.986 | 21 | 1 2 1 |
| 3.807 | 29 | 2 1 1 |
| 3.755 | 100 | 0 1 2 |
| 3.703 | 29 | 1 1 -1 |
| 3.429 | 36 | 2 0 1 |
| 2.547 | 24 | 2 2 3 |
| 2.481 | 25 | 1 -2 1 |
| 2.434 | 21 | 3 1 2 |
| 2.417 | 27 | -1 2 2 |

Atomic structure:
Unit cell a=7.661 b=8.055 c=8.262 alpha=64.40 beta=67.85 gamma=66.75
Space group P-1 (No. 2)
One atom of each set of equivalent atoms:
Cs 0.000 0.000 0.000 x1
Ba 0.278 0.276 0.350 x2
Ga 0.299 0.549 0.736 x2
S 0.125 0.415 0.700 x2
S 0.284 0.854 0.609 x2
S 0.489 0.630 0.085 x2

=====

Entry 7:
This entry pairs a crystal structure of CsBaGa4Si6 with its theoretical X-ray diffraction stick pattern. Radiation: a wavelength of 1.5418 Å. Structure: a DFT-relaxed cell (GGA-PBE, Alexandria).
Kinematic intensities with the Lorentz-polarization factor, no thermal factor.

Most intense lines, 2θ = 10–90°, low angle first:
| d_spacing | I_rel | hkl |
| --- | --- | --- |
| 4.289 | 13 | 1 0 1 |
| 3.586 | 98 | 1 0 2 |
| 2.676 | 63 | 1 1 0 |
| 2.604 | 25 | 1 1 1 |
| 2.417 | 100 | 1 0 4 |
| 2.317 | 14 | 2 0 0 |
| 2.183 | 16 | 1 1 3 |
| 1.793 | 28 | 2 0 4 |
| 1.673 | 21 | 2 1 2 |
| 1.490 | 35 | 2 1 4 |
| 1.338 | 15 | 2 2 0 |
| 1.251 | 17 | 1 1 8 |

Atomic structure:
Unit cell a=5.3518 b=5.3518 c=11.3203 alpha=90.00 beta=90.00 gamma=120.00
Space group P6/mmm (No. 191)
One atom of each set of equivalent atoms:
Cs 0.0000 0.0000 0.0000 x1
Ba 0.0000 0.0000 0.5000 x1
Ga 0.3333 0.6667 0.1204 x4
Si 0.0000 0.5000 0.3066 x6

=====

Entry 8:
This entry pairs a crystal structure of Cs2Ba4H with its theoretical X-ray diffraction stick pattern. Radiation: a wavelength of 1.5418 Å. Structure: a DFT-relaxed cell (GGA-PBE, Alexandria).
Kinematic intensities with the Lorentz-polarization factor, no thermal factor.

Most intense lines, 2θ = 10–90°, low angle first:
| d_spacing | I_rel | hkl |
| --- | --- | --- |
| 4.131 | 62 | 1 1 2 |
| 4.073 | 17 | 0 0 6 |
| 3.840 | 62 | 1 0 5 |
| 3.565 | 100 | 1 1 4 |
| 3.104 | 63 | 2 0 0 |
| 2.488 | 25 | 1 0 9 |
| 2.469 | 18 | 2 0 6 |
| 2.414 | 36 | 2 1 5 |
| 2.195 | 24 | 2 2 0 |
| 1.940 | 39 | 2 1 9 |
| 1.869 | 32 | 3 1 4 |
| 1.623 | 25 | 1 1 14 |

Atomic structure:
Unit cell a=6.207 b=6.207 c=24.438 alpha=90.00 beta=90.00 gamma=90.00
Space group I4/mmm (No. 139)
One atom of each set of equivalent atoms:
Cs 0.000 0.000 0.177 x4
Ba 0.000 0.000 0.384 x4
Ba 0.000 0.500 0.000 x4
H 0.000 0.000 0.500 x2

=====

Entry 9:
This entry pairs a crystal structure of CsBaNiH6 with its theoretical X-ray diffraction stick pattern. Radiation: a wavelength of 1.5418 Å. Structure: a DFT-relaxed cell (GGA-PBE, Alexandria).
Kinematic intensities with the Lorentz-polarization factor, no thermal factor.

Most intense lines, 2θ = 10–90°, low angle first:
| d_spacing | I_rel | hkl |
| --- | --- | --- |
| 3.630 | 100 | 1 1 1 |
| 2.823 | 9 | 0 0 2 |
| 2.736 | 45 | 3 1 0 |
| 2.425 | 18 | 2 0 2 |
| 2.185 | 25 | 4 0 1 |
| 1.965 | 18 | 3 1 2 |
| 1.815 | 7 | 2 2 2 |
| 1.749 | 12 | 1 1 3 |
| 1.707 | 22 | 4 2 1 |
| 1.580 | 8 | 6 0 0 |
| 1.513 | 6 | 1 3 -2 |
| 1.280 | 7 | 2 4 -1 |

Atomic structure:
Unit cell a=9.474 b=5.475 c=5.645 alpha=90.00 beta=90.11 gamma=90.00
Space group Cm (No. 8)
One atom of each set of equivalent atoms:
Cs 0.000 0.000 0.000 x2
Ba 0.334 0.000 0.523 x2
Ni 0.167 0.500 0.350 x2
H 0.033 0.500 0.188 x2
H 0.097 0.291 0.502 x4
H 0.234 0.299 0.188 x4
H 0.306 0.500 0.503 x2

=====

Entry 10:
This entry pairs a crystal structure of Cs2BaSrH6 with its theoretical X-ray diffraction stick pattern. Radiation: a wavelength of 1.5418 Å. Structure: a DFT-relaxed cell (GGA-PBE, Alexandria).
Kinematic intensities with the Lorentz-polarization factor, no thermal factor.

Most intense lines, 2θ = 10–90°, low angle first:
| d_spacing | I_rel | hkl |
| --- | --- | --- |
| 3.564 | 20 | 0 0 2 |
| 3.535 | 100 | 2 0 0 |
| 2.508 | 16 | 2 0 2 |
| 2.492 | 8 | 0 4 0 |
| 2.052 | 17 | 1 2 3 |
| 2.040 | 26 | 3 2 1 |
| 2.036 | 9 | 2 4 0 |
| 1.767 | 14 | 4 0 0 |
| 1.585 | 7 | 3 2 3 |
| 1.577 | 8 | 1 6 1 |
| 1.336 | 8 | 4 4 2 |
| 1.334 | 9 | 5 2 1 |

Atomic structure:
Unit cell a=7.061 b=9.968 c=7.128 alpha=90.00 beta=90.00 gamma=90.00
Space group Pmmn (No. 59, origin choice 2)
One atom of each set of equivalent atoms:
Cs 0.250 0.002 0.234 x4
Ba 0.250 0.250 0.740 x2
Sr 0.250 0.750 0.757 x2
H 0.005 0.750 0.520 x4
H 0.010 0.750 0.001 x4
H 0.250 0.508 0.777 x4

=====

Entry 11:
This entry pairs a crystal structure of CsBaHg14 with its theoretical X-ray diffraction stick pattern. Radiation: a wavelength of 1.5418 Å. Structure: a DFT-relaxed cell (GGA-PBE, Alexandria).
Kinematic intensities with the Lorentz-polarization factor, no thermal factor.

Most intense lines, 2θ = 10–90°, low angle first:
| d_spacing | I_rel | hkl |
| --- | --- | --- |
| 3.248 | 15 | 3 1 2 |
| 3.136 | 31 | 0 3 3 |
| 3.091 | 58 | 3 2 1 |
| 3.050 | 23 | 3 0 3 |
| 2.925 | 64 | 0 4 0 |
| 2.805 | 49 | 4 0 0 |
| 2.701 | 92 | 1 2 5 |
| 2.693 | 20 | 1 3 4 |
| 2.232 | 100 | 3 2 5 |
| 2.025 | 24 | 4 4 0 |
| 1.924 | 16 | 3 5 2 |
| 1.389 | 28 | 7 2 5 |

Atomic structure:
Unit cell a=11.220 b=11.701 c=15.820 alpha=90.00 beta=90.00 gamma=90.00
Space group Imma (No. 74)
One atom of each set of equivalent atoms:
Cs 0.000 0.250 0.109 x4
Ba 0.000 0.000 0.500 x4
Hg 0.128 0.250 0.788 x8
Hg 0.132 0.013 0.293 x16
Hg 0.145 0.250 0.589 x8
Hg 0.146 0.250 0.386 x8
Hg 0.147 0.049 0.912 x16

=====

Entry 12:
This entry pairs a crystal structure of CsBaHg with its theoretical X-ray diffraction stick pattern. Radiation: a wavelength of 1.5418 Å. Structure: a DFT-relaxed cell (GGA-PBE, Alexandria).
Kinematic intensities with the Lorentz-polarization factor, no thermal factor.

Most intense lines, 2θ = 10–90°, low angle first:
| d_spacing | I_rel | hkl |
| --- | --- | --- |
| 8.813 | 44 | 0 0 1 |
| 3.878 | 100 | 0 1 1 |
| 3.084 | 63 | 1 0 2 |
| 2.493 | 37 | 1 1 0 |
| 2.429 | 29 | 1 0 3 |
| 2.399 | 12 | 1 1 1 |
| 2.097 | 19 | 2 0 1 |
| 1.939 | 17 | 0 2 2 |
| 1.651 | 16 | 1 1 4 |
| 1.605 | 16 | 1 2 1 |
| 1.531 | 16 | 2 1 2 |
| 1.427 | 11 | 2 1 3 |

Atomic structure:
Unit cell a=4.9869 b=4.9869 c=8.8131 alpha=90.00 beta=90.00 gamma=120.00
Space group P3m1 (No. 156)
One atom of each set of equivalent atoms:
Cs 0.0000 0.0000 0.0000 x1
Ba 0.6667 0.3333 0.5013 x1
Hg 0.3333 0.6667 0.2920 x1

=====

Entry 13:
This entry pairs a crystal structure of CsBaI3 with its theoretical X-ray diffraction stick pattern. Radiation: a wavelength of 1.5418 Å. Structure: a DFT-relaxed cell (GGA-PBE, Alexandria).
Kinematic intensities with the Lorentz-polarization factor, no thermal factor.

Most intense lines, 2θ = 10–90°, low angle first:
| d_spacing | I_rel | hkl |
| --- | --- | --- |
| 6.872 | 35 | 0 0 1 |
| 4.828 | 32 | 1 0 1 |
| 3.942 | 73 | 1 1 1 |
| 3.436 | 25 | 0 0 2 |
| 3.402 | 100 | 2 0 0 |
| 3.067 | 34 | 1 0 2 |
| 3.048 | 26 | 2 0 1 |
| 2.796 | 23 | 1 1 2 |
| 2.418 | 38 | 2 0 2 |
| 2.406 | 39 | 2 2 0 |
| 2.278 | 30 | 2 1 2 |
| 2.054 | 24 | 3 1 1 |

Atomic structure:
Unit cell a=6.805 b=6.805 c=6.872 alpha=90.00 beta=90.00 gamma=90.00
Space group P4mm (No. 99)
One atom of each set of equivalent atoms:
Cs 0.000 0.000 0.000 x1
Ba 0.500 0.500 0.368 x1
I 0.000 0.500 0.315 x2
I 0.500 0.500 0.862 x1